Theoretical powder diffractogram
Compound: HfZrCoSb2Rh
Radiation: a wavelength of 1.5418 Å
Structure: a structure optimized by DFT (GGA-PBE)
Kinematic intensities with the Lorentz-polarization factor, no thermal factor.

Structure:
```
data_HfZrCoSb2Rh
_space_group_name_H-M_alt 'R 3 m'
_space_group_IT_number 160
_space_group_name_Hall 'R 3 -2"'
_cell_length_a 4.5964
_cell_length_b 4.5964
_cell_length_c 20.9878
_cell_angle_alpha 90.00
_cell_angle_beta 90.00
_cell_angle_gamma 120.00
loop_
_atom_site_label
_atom_site_fract_x
_atom_site_fract_y
_atom_site_fract_z
Hf1 0.0000 0.0000 0.0000
Zr1 0.0000 0.0000 0.5613
Co1 0.0000 0.0000 0.1442
Sb1 0.0000 0.0000 0.4064
Sb2 0.0000 0.0000 0.8500
Rh1 0.0000 0.0000 0.6824
```

Top 10 peaks for 2θ from 10° to 90°, in order of rising 2θ:
two_theta	d (Å)	I_rel	(hkl)
22.74	3.911	14	1 0 1
23.91	3.722	22	0 1 2
25.46	3.498	21	0 0 6
30.96	2.888	22	0 1 5
37.56	2.395	86	1 0 7
39.20	2.298	100	1 1 0
47.33	1.921	23	1 1 6
55.41	1.658	27	0 2 7
69.96	1.345	27	2 1 7
71.04	1.327	17	3 0 0